Simulated XRD peak list of Tb4Er for Cu Kα (λ = 1.5418 Å), from the PBE geometry in Alexandria.

The 12 most intense peaks (10 to 90 degrees two-theta), sorted by position:
2theta  I (rel.)
30.9  100
31.0  33
35.9  67
51.6  24
51.7  24
61.4  43
61.5  14
64.4  12
76.1  8
84.2  12
87.0  11
87.2  11

Cell and atoms:
Lattice parameters (Å, degrees): 6.1380 3.5427 14.5592 90.00 98.03 90.00
Atoms (fractional coordinates):
Tb  0.1009  0.0000  0.3014
Tb  0.1997  0.5000  0.1004
Tb  0.3003  0.0000  0.8996
Tb  0.3991  0.5000  0.6986
Tb  0.6009  0.5000  0.3014
Tb  0.6997  0.0000  0.1004
Tb  0.8003  0.5000  0.8996
Tb  0.8991  0.0000  0.6986
Er  0.0000  0.5000  0.5000
Er  0.5000  0.0000  0.5000